Tl3GaS3: theoretical XRD peak list (a wavelength of 1.5418 Å), based on DFT lattice parameters and positions (GGA-PBE).
Intensities are scaled so that the largest is 100.

Structural model:
```
14
Lattice="4.439 -7.650 0.000 4.439 7.650 0.000 0.000 0.000 6.652" Properties=species:S:1:pos:R:3 pbc="T T T"
Tl 4.439 4.584 4.989
Tl 2.678 1.536 4.989
Tl 2.678 -1.536 1.663
Tl 6.201 1.536 4.989
Tl 6.201 -1.536 1.663
Tl 4.439 -4.584 1.663
Ga 4.439 2.553 1.663
Ga 4.439 -2.553 4.989
S 4.439 4.773 1.663
S 2.517 1.442 1.663
S 2.517 -1.442 4.989
S 6.362 1.442 1.663
S 6.362 -1.442 4.989
S 4.439 -4.773 4.989
```

Top 12 peaks for 2θ = 10–90°, in order of rising 2θ:
2θ/deg	I (rel.)
17.6	25
23.2	33
26.8	100
30.8	20
30.9	10
35.7	21
37.7	15
40.8	9
41.3	18
47.4	14
49.5	12
67.1	10

TlGa4S7: theoretical XRD peak list (a wavelength of 1.5418 Å), based on DFT lattice parameters and positions (GGA-PBE).
Intensities are scaled so that the largest is 100.

Structural model:
```
24
Lattice="15.150 0.000 0.000 0.000 6.324 0.000 0.000 0.000 6.048" Properties=species:S:1:pos:R:3 pbc="T T T"
Tl 0.000 0.955 0.000
Tl 7.575 5.370 3.024
Ga 1.834 4.187 3.689
Ga 3.776 1.124 3.578
Ga 3.799 5.200 0.553
Ga 5.741 2.138 0.664
Ga 9.409 2.138 0.664
Ga 11.351 5.200 0.553
Ga 11.374 1.124 3.578
Ga 13.316 4.187 3.689
S 0.000 5.289 2.847
S 1.766 4.440 5.962
S 1.780 2.018 2.999
S 3.782 1.123 5.939
S 3.793 5.202 2.915
S 5.795 4.306 6.024
S 5.809 1.884 2.938
S 7.575 1.036 5.871
S 9.342 1.884 2.938
S 9.356 4.306 6.024
S 11.368 1.123 5.939
S 11.358 5.202 2.915
S 13.370 2.018 2.999
S 13.384 4.440 5.962
```

Top 12 peaks for 2θ = 10–90°, in order of rising 2θ:
2θ/deg	I (rel.)
21.2	45
22.5	37
22.9	50
23.5	100
27.4	64
29.5	69
31.2	42
34.1	43
41.3	40
49.5	47
53.5	43
58.7	39

Tm6GaS4: theoretical XRD peak list (a wavelength of 1.5418 Å), based on DFT lattice parameters and positions (GGA-PBE).
Intensities are scaled so that the largest is 100.

Structural model:
```
22
Lattice="1.920 -6.371 0.000 1.920 6.371 0.000 0.000 0.000 19.598" Properties=species:S:1:pos:R:3 pbc="T T T"
Tm 0.000 0.000 0.000
Tm 0.000 0.000 9.799
Tm 1.920 4.288 14.698
Tm 1.920 2.909 1.683
Tm 1.920 2.909 8.116
Tm 1.920 0.600 13.011
Tm 1.920 0.600 16.386
Tm 1.920 -0.600 3.212
Tm 1.920 -0.600 6.587
Tm 1.920 -2.909 11.482
Tm 1.920 -2.909 17.915
Tm 1.920 -4.288 4.899
Ga 1.920 4.253 4.899
Ga 1.920 -4.253 14.698
S 1.920 5.224 12.207
S 1.920 5.224 17.189
S 1.920 1.760 10.573
S 1.920 1.760 18.823
S 1.920 -1.760 0.774
S 1.920 -1.760 9.024
S 1.920 -5.224 2.409
S 1.920 -5.224 7.390
```

Top 12 peaks for 2θ = 10–90°, in order of rising 2θ:
2θ/deg	I (rel.)
27.8	40
28.4	24
30.4	46
30.8	100
31.7	48
32.7	85
34.3	28
46.6	37
47.3	29
48.8	31
57.5	34
77.6	26

TmGaS3: theoretical XRD peak list (a wavelength of 1.5418 Å), based on DFT lattice parameters and positions (GGA-PBE).
Intensities are scaled so that the largest is 100.

Structural model:
```
10
Lattice="3.847 0.000 0.000 0.000 11.203 3.166 0.000 -11.203 3.166" Properties=species:S:1:pos:R:3 pbc="T T T"
Tm 0.962 -7.252 3.166
Tm 2.885 7.252 3.166
Ga 0.962 -2.841 2.736
Ga 2.885 2.841 2.736
S 0.962 -4.953 1.670
S 0.962 1.879 1.804
S 0.962 -2.749 4.985
S 2.885 -1.879 1.804
S 2.885 4.953 1.670
S 2.885 2.749 4.985
```

Top 12 peaks for 2θ = 10–90°, in order of rising 2θ:
2θ/deg	I (rel.)
15.8	55
18.4	52
24.3	50
27.4	100
28.2	29
33.8	40
37.2	26
38.9	18
39.3	18
40.3	41
46.9	47
49.4	22

UGaS6: theoretical XRD peak list (a wavelength of 1.5418 Å), based on DFT lattice parameters and positions (GGA-PBE).
Intensities are scaled so that the largest is 100.

Structural model:
```
8
Lattice="0.000 4.900 4.900 4.900 0.000 4.900 4.900 4.900 0.000" Properties=species:S:1:pos:R:3 pbc="T T T"
U 0.000 0.000 0.000
Ga 4.900 4.900 4.900
S 4.900 4.900 2.493
S 4.900 2.493 4.900
S 7.306 4.900 4.900
S 2.493 4.900 4.900
S 4.900 7.306 4.900
S 4.900 4.900 7.306
```

Top 12 peaks for 2θ = 10–90°, in order of rising 2θ:
2θ/deg	I (rel.)
15.7	27
18.1	100
25.7	33
30.2	20
36.7	31
40.1	10
41.2	48
45.3	16
52.9	21
56.3	24
69.1	11
80.9	14

Y5GaS4: theoretical XRD peak list (a wavelength of 1.5418 Å), based on DFT lattice parameters and positions (GGA-PBE).
Intensities are scaled so that the largest is 100.

Structural model:
```
10
Lattice="-4.453 4.453 2.807 4.453 -4.453 2.807 4.453 4.453 -2.807" Properties=species:S:1:pos:R:3 pbc="T T T"
Y 0.000 0.000 0.000
Y 5.345 1.771 0.000
Y 1.771 3.562 0.000
Y 2.682 0.892 2.807
Y -0.892 2.682 2.807
Ga 0.000 0.000 2.807
S 2.688 0.890 0.000
S 3.564 -1.765 2.807
S 0.890 6.219 0.000
S 1.765 3.564 2.807
```

Top 12 peaks for 2θ = 10–90°, in order of rising 2θ:
2θ/deg	I (rel.)
27.5	39
31.8	95
31.9	47
45.6	100
54.0	12
54.2	6
56.7	34
66.4	10
75.5	28
75.7	14
84.3	21
84.4	11